Starting from the GGA+U geometry in Alexandria, the powder XRD pattern of MgMnGa4O8 was simulated for a wavelength of 1.5418 Å.

Most intense lines, 10 to 90 degrees two-theta, in order of rising 2θ:
hkl 1 0 1, 18.11 deg, I 23
hkl 0 0 3, 18.22 deg, I 18
hkl 1 0 4, 29.90 deg, I 16
hkl 0 2 1, 35.09 deg, I 100
hkl 0 1 5, 35.24 deg, I 30
hkl 2 0 2, 36.69 deg, I 17
hkl 0 2 4, 42.69 deg, I 39
hkl 1 2 5, 56.39 deg, I 34
hkl 2 2 0, 61.81 deg, I 31
hkl 2 0 8, 62.12 deg, I 31

Structural model:
Cell lengths 6.0039, 6.0039, 14.6075 Å; angles 90.00, 90.00, 120.00 degrees
Space group R3m (No. 160, hexagonal axes)
Asymmetric unit:
Mg (0.0000, 0.0000, 0.0000)
Mn (0.0000, 0.0000, 0.6238)
Ga (0.0000, 0.0000, 0.2443)
Ga (0.1700, 0.3401, 0.4551)
O (0.0000, 0.0000, 0.3797)
O (0.0000, 0.0000, 0.8633)
O (0.0264, 0.5132, 0.3789)
O (0.1772, 0.3544, 0.2016)